Diffraction record for CeDy3Rh8. The XRD peak list is theoretical, not measured: it uses a structure optimized by DFT (PBE) and CuKα.

Principal peaks in the range 10° ≤ 2θ ≤ 80°, low angle first:
- d = 2.671 Å, intensity 41, (1 1 0)
- d = 2.278 Å, intensity 100, (2 0 2)
- d = 2.181 Å, intensity 28, (0 0 12)
- d = 1.542 Å, intensity 15, (3 0 0)
- d = 1.454 Å, intensity 32, (3 0 6)
- d = 1.336 Å, intensity 26, (2 2 0)

Structure:
Unit cell a=5.3445 b=5.3445 c=26.1537 alpha=90.00 beta=90.00 gamma=120.00
Space group R3m (No. 160, hexagonal axes)
One atom of each set of equivalent atoms:
Ce  0.0000  0.0000  0.0000
Dy  0.0000  0.0000  0.3761
Dy  0.0000  0.0000  0.5009
Dy  0.0000  0.0000  0.8749
Rh  0.0000  0.0000  0.1880
Rh  0.0000  0.0000  0.6882
Rh  0.0014  0.5007  0.9380
Rh  0.1669  0.3339  0.7713


Diffraction record for Dy2TaPd9. The XRD peak list is theoretical, not measured: it uses a structure optimized by DFT (PBE) and CuKα.

Principal peaks in the range 10° ≤ 2θ ≤ 80°, low angle first:
- d = 2.348 Å, intensity 100, (1 1 3)
- d = 2.039 Å, intensity 15, (0 0 6)
- d = 2.031 Å, intensity 33, (2 0 0)
- d = 1.439 Å, intensity 20, (2 0 6)
- d = 1.436 Å, intensity 11, (2 2 0)
- d = 1.225 Å, intensity 25, (3 1 3)

Structure:
Unit cell a=4.0619 b=4.0619 c=12.2330 alpha=90.00 beta=90.00 gamma=90.00
Space group P4/mmm (No. 123)
One atom of each set of equivalent atoms:
Dy  0.0000  0.0000  0.1661
Ta  0.0000  0.0000  0.5000
Pd  0.0000  0.5000  0.0000
Pd  0.0000  0.5000  0.3468
Pd  0.5000  0.5000  0.1738
Pd  0.5000  0.5000  0.5000


Diffraction record for Pu2NpPa8. The XRD peak list is theoretical, not measured: it uses a structure optimized by DFT (PBE) and CuKα.

Principal peaks in the range 10° ≤ 2θ ≤ 80°, low angle first:
- d = 4.205 Å, intensity 36, (0 2 0)
- d = 2.891 Å, intensity 100, (0 0 2)
- d = 2.680 Å, intensity 34, (1 1 -2)
- d = 2.611 Å, intensity 40, (2 0 -2)
- d = 2.502 Å, intensity 48, (4 0 1)
- d = 2.470 Å, intensity 35, (1 3 -1)

Structure:
Unit cell a=11.2821 b=8.4100 c=5.7935 alpha=90.00 beta=91.90 gamma=90.00
Space group C2/m (No. 12)
One atom of each set of equivalent atoms:
Pu  0.1834  0.0000  0.2065
Np  0.0000  0.0000  0.0000
Pa  0.0936  0.5000  0.7357
Pa  0.1297  0.0000  0.6202
Pa  0.1606  0.2988  0.2263


Diffraction record for PrBi2S4. The XRD peak list is theoretical, not measured: it uses a structure optimized by DFT (PBE) and CuKα.

Principal peaks in the range 10° ≤ 2θ ≤ 80°, low angle first:
- d = 3.651 Å, intensity 100, (0 2 3)
- d = 3.461 Å, intensity 38, (1 1 2)
- d = 2.967 Å, intensity 34, (1 3 1)
- d = 2.766 Å, intensity 55, (1 3 2)
- d = 2.217 Å, intensity 36, (1 1 5)
- d = 1.844 Å, intensity 32, (2 2 3)

Structure:
Unit cell a=4.2736 b=13.0147 c=13.2310 alpha=90.00 beta=90.00 gamma=90.00
Space group Cmcm (No. 63)
One atom of each set of equivalent atoms:
Pr  0.0000  0.1251  0.2500
Bi  0.0000  0.3744  0.0632
S  0.0000  0.0000  0.0000
S  0.0000  0.2736  0.6223
S  0.0000  0.4794  0.2500